Structure and theoretical X-ray diffraction stick pattern of SmPd4Au2 (a GGA-PBE-relaxed structure; Cu Kα (λ = 1.5418 Å)).

Structural model:
```
SmPd4Au2
1.0
6.2353 0.0000 0.0000
0.6628 6.7394 0.0000
2.2993 2.5976 6.1578
Sm Pd Au
2 8 4
Direct
0.0000 0.0000 0.0000
0.3534 0.3853 0.4334
0.0170 0.7161 0.4207
0.0903 0.4624 0.8160
0.1588 0.2018 0.2135
0.3091 0.6535 0.9911
0.5628 0.6067 0.5935
0.6918 0.0543 0.4035
0.7610 0.7966 0.8044
0.8656 0.2477 0.6156
0.2298 0.9129 0.5953
0.4826 0.8842 0.1679
0.6255 0.3331 0.9877
0.8412 0.5242 0.2065
```

Main lines, in order of rising 2θ (2θ from 10° to 80°):
hkl 2 2 1, d = 2.370 Å, I 100; hkl 1 1 3, d = 2.349 Å, I 33; hkl 0 3 2, d = 2.147 Å, I 25; hkl 1 1 -2, d = 2.052 Å, I 21; hkl 3 0 2, d = 1.957 Å, I 18; hkl 1 4 0, d = 1.488 Å, I 7; hkl -1 2 4, d = 1.479 Å, I 7; hkl 3 -3 0, d = 1.451 Å, I 7; hkl 3 3 4, d = 1.442 Å, I 6; hkl 4 1 0, d = 1.422 Å, I 7